# 1
# Sm6Dy12Y
Simulated XRD peak list, Cu Ka. Input: DFT lattice parameters and positions (PBE).
Kinematic intensities with the Lorentz-polarization factor, no thermal factor.

Largest 8 diffraction maxima, by angle, 2θ from 5° to 70°:
d 3.047, I 43.0, (1 0 4); d 2.839, I 49.6, (3 1 2); d 2.829, I 67.0, (0 3 3); d 2.793, I 100.0, (4 0 1); d 2.606, I 55.6, (0 4 2); d 2.573, I 21.4, (3 2 1); d 1.653, I 22.4, (4 4 0); d 1.618, I 25.6, (4 3 4)

Structural model:
```
data_Sm6Dy12Y
_symmetry_space_group_name_H-M 'R -3 m'
_symmetry_Int_Tables_number 166
_symmetry_space_group_name_Hall '-R 3 2"'
_cell_length_a 13.2273
_cell_length_b 13.2273
_cell_length_c 12.6413
_cell_angle_alpha 90.00
_cell_angle_beta 90.00
_cell_angle_gamma 120.00
loop_
_atom_site_label
_atom_site_type_symbol
_atom_site_fract_x
_atom_site_fract_y
_atom_site_fract_z
Sm1 Sm 0.0399 0.5200 0.1169
Dy1 Dy 0.0000 0.2581 0.0000
Dy2 Dy 0.0909 0.1819 0.7649
Y1 Y 0.0000 0.0000 0.5000
```


# 2
# Sm3Dy4Y
Simulated XRD peak list, Cu Ka. Input: DFT lattice parameters and positions (PBE).
Kinematic intensities with the Lorentz-polarization factor, no thermal factor.

Largest 8 diffraction maxima, by angle, 2θ from 5° to 70°:
d 3.161, I 24.0, (0 2 1); d 2.852, I 24.2, (4 0 0); d 2.765, I 100.0, (2 0 2); d 2.117, I 15.7, (4 2 1); d 1.824, I 13.1, (0 2 3); d 1.629, I 20.6, (6 0 2); d 1.537, I 22.6, (4 4 0); d 1.524, I 11.0, (2 4 2)

Structural model:
```
data_Sm3Dy4Y
_symmetry_space_group_name_H-M 'P m n 21'
_symmetry_Int_Tables_number 31
_symmetry_space_group_name_Hall 'P 2ac -2'
_cell_length_a 11.4069
_cell_length_b 7.3095
_cell_length_c 6.3125
_cell_angle_alpha 90.00
_cell_angle_beta 90.00
_cell_angle_gamma 90.00
loop_
_atom_site_label
_atom_site_type_symbol
_atom_site_fract_x
_atom_site_fract_y
_atom_site_fract_z
Sm1 Sm 0.0000 0.1273 0.0000
Sm2 Sm 0.2503 0.1264 0.3342
Dy1 Dy 0.0000 0.3765 0.5001
Dy2 Dy 0.0000 0.6225 0.0000
Dy3 Dy 0.2493 0.6228 0.3320
Y1 Y 0.0000 0.8727 0.4992
```


# 3
# Sm2Dy5Y12
Simulated XRD peak list, Cu Ka. Input: DFT lattice parameters and positions (PBE).
Kinematic intensities with the Lorentz-polarization factor, no thermal factor.

Largest 8 diffraction maxima, by angle, 2θ from 5° to 70°:
d 3.002, I 36.7, (-2 1 1); d 2.900, I 60.5, (1 2 0); d 2.882, I 100.0, (0 1 4); d 2.863, I 73.9, (1 -2 3); d 2.811, I 33.4, (-2 1 2); d 2.649, I 45.5, (1 1 -4); d 2.630, I 59.8, (-1 3 1); d 1.497, I 30.0, (3 2 2)

Structural model:
```
data_Sm2Dy5Y12
_symmetry_space_group_name_H-M 'P 1'
_symmetry_Int_Tables_number 1
_symmetry_space_group_name_Hall 'P 1'
_cell_length_a 6.1286
_cell_length_b 8.2455
_cell_length_c 12.7865
_cell_angle_alpha 92.80
_cell_angle_beta 93.58
_cell_angle_gamma 106.67
loop_
_atom_site_label
_atom_site_type_symbol
_atom_site_fract_x
_atom_site_fract_y
_atom_site_fract_z
Sm1 Sm 0.0000 0.0000 0.0000
Sm2 Sm 0.3923 0.8073 0.0503
Dy1 Dy 0.2020 0.2972 0.4251
Dy2 Dy 0.2545 0.8385 0.7864
Dy3 Dy 0.4552 0.1471 0.2194
Dy4 Dy 0.7667 0.5025 0.3772
Dy5 Dy 0.9486 0.4633 0.6369
Y1 Y 0.0255 0.3399 0.1664
Y2 Y 0.0754 0.8798 0.5265
Y3 Y 0.1377 0.4222 0.9040
Y4 Y 0.3261 0.7092 0.3150
Y5 Y 0.3824 0.2554 0.6883
Y6 Y 0.5114 0.6711 0.5820
Y7 Y 0.5661 0.1984 0.9473
Y8 Y 0.6324 0.5394 0.1149
Y9 Y 0.6419 0.0899 0.4761
Y10 Y 0.6960 0.6320 0.8485
Y11 Y 0.8202 0.0463 0.7396
Y12 Y 0.8848 0.9226 0.2625
```


# 4
# Sm4Dy3Y5
Simulated XRD peak list, Cu Ka. Input: DFT lattice parameters and positions (PBE).
Kinematic intensities with the Lorentz-polarization factor, no thermal factor.

Largest 8 diffraction maxima, by angle, 2θ from 5° to 70°:
d 5.549, I 1.6, (0 1 -1); d 2.924, I 100.0, (2 0 1); d 2.532, I 50.4, (1 2 2); d 1.791, I 35.5, (3 2 0); d 1.528, I 24.6, (4 0 -1); d 1.526, I 17.4, (3 2 3); d 1.462, I 9.1, (4 0 2); d 1.461, I 3.0, (0 0 6)

Structural model:
```
data_Sm4Dy3Y5
_symmetry_space_group_name_H-M 'P -1'
_symmetry_Int_Tables_number 2
_symmetry_space_group_name_Hall '-P 1'
_cell_length_a 6.2049
_cell_length_b 7.1653
_cell_length_c 8.7672
_cell_angle_alpha 90.08
_cell_angle_beta 90.01
_cell_angle_gamma 90.10
loop_
_atom_site_label
_atom_site_type_symbol
_atom_site_fract_x
_atom_site_fract_y
_atom_site_fract_z
Sm1 Sm 0.1660 0.2499 0.1680
Sm2 Sm 0.3327 0.4999 0.8341
Dy1 Dy 0.0000 0.0000 0.5000
Dy2 Dy 0.1671 0.7509 0.1683
Y1 Y 0.0000 0.5000 0.5000
Y2 Y 0.3322 0.0000 0.8325
Y3 Y 0.4992 0.7513 0.5000
```